1.
Simulated XRD peak list of Tl3Bi3Pb2 for λ = 1.5418 Å (Cu Kα), from a PBE-relaxed structure.
Peak positions follow from Bragg's law for the DFT cell and can differ from measured ones.

Crystal structure
```
data_Tl3Bi3Pb2
_chemical_formula_sum 'Tl6 Bi6 Pb4'
_space_group_name_H-M_alt 'C 1 2/m 1'
_space_group_IT_number 12
_cell_length_a 18.814
_cell_length_b 5.474
_cell_length_c 5.169
_cell_angle_alpha 90.00
_cell_angle_beta 105.25
_cell_angle_gamma 90.00
loop_
_space_group_symop_operation_xyz
'x,y,z'
'-x,-y,-z'
'-x,y,-z'
'x,-y,z'
'x+1/2,y+1/2,z'
'-x+1/2,-y+1/2,-z'
'-x+1/2,y+1/2,-z'
'x+1/2,-y+1/2,z'
loop_
_atom_site_label
_atom_site_fract_x
_atom_site_fract_y
_atom_site_fract_z
Tl1 0.000 0.000 0.000
Tl2 0.118 0.000 0.619
Bi1 0.000 0.500 0.500
Bi2 0.134 0.500 0.132
Pb1 0.243 0.000 0.246
```

Principal peaks in the range 10 to 80 degrees two-theta, in order of falling intensity:
- 2θ 30.76, intensity 100.0, hkl 3 1 1
- 2θ 31.03, intensity 97.0, hkl 5 1 -1
- 2θ 32.72, intensity 43.7, hkl 0 2 0
- 2θ 34.72, intensity 37.4, hkl 2 0 -2
- 2θ 48.45, intensity 29.9, hkl 2 2 -2
- 2θ 39.73, intensity 23.3, hkl 8 0 0
- 2θ 52.38, intensity 22.1, hkl 8 2 0
- 2θ 57.18, intensity 18.0, hkl 3 3 1
- 2θ 57.35, intensity 17.7, hkl 5 3 -1
- 2θ 59.62, intensity 16.2, hkl 1 1 3

***

2.
Simulated XRD peak list of La2Zn2Au3 for λ = 1.5418 Å (Cu Kα), from a PBE-relaxed structure.
Peak positions follow from Bragg's law for the DFT cell and can differ from measured ones.

Crystal structure
```
data_La2Zn2Au3
_chemical_formula_sum 'La8 Zn8 Au12'
_space_group_name_H-M_alt 'C m c m'
_space_group_IT_number 63
_space_group_name_Hall '-C 2c 2'
_cell_length_a 4.251
_cell_length_b 19.996
_cell_length_c 7.600
_cell_angle_alpha 90.00
_cell_angle_beta 90.00
_cell_angle_gamma 90.00
loop_
_atom_site_label
_atom_site_fract_x
_atom_site_fract_y
_atom_site_fract_z
La1 0.000 0.058 0.250
La2 0.000 0.158 0.750
Zn1 0.000 0.309 0.562
Au1 0.000 0.225 0.250
Au2 0.000 0.435 0.060
```

Principal peaks in the range 10 to 80 degrees two-theta, in order of falling intensity:
- 2θ 31.90, intensity 100.0, hkl 1 1 2
- 2θ 32.93, intensity 96.7, hkl 1 5 1
- 2θ 42.53, intensity 40.7, hkl 2 0 0
- 2θ 39.89, intensity 37.7, hkl 0 4 3
- 2θ 45.07, intensity 36.0, hkl 1 7 2
- 2θ 43.76, intensity 32.9, hkl 1 3 3
- 2θ 35.93, intensity 25.3, hkl 0 8 0
- 2θ 69.79, intensity 22.5, hkl 1 5 5
- 2θ 25.07, intensity 22.0, hkl 0 2 2
- 2θ 59.72, intensity 21.4, hkl 2 4 3

***

3.
Simulated XRD peak list of KSi2AgTe6 for λ = 1.5418 Å (Cu Kα), from a PBE-relaxed structure.
Peak positions follow from Bragg's law for the DFT cell and can differ from measured ones.

Crystal structure
```
data_KSi2AgTe6
_chemical_formula_sum 'K4 Si8 Ag4 Te24'
_space_group_name_H-M_alt 'C 1 2/c 1'
_space_group_IT_number 15
_cell_length_a 15.282
_cell_length_b 14.474
_cell_length_c 6.826
_cell_angle_alpha 90.00
_cell_angle_beta 101.95
_cell_angle_gamma 90.00
loop_
_space_group_symop_operation_xyz
'x,y,z'
'-x,-y,-z'
'-x,y,-z+1/2'
'x,-y,z+1/2'
'x+1/2,y+1/2,z'
'-x+1/2,-y+1/2,-z'
'-x+1/2,y+1/2,-z+1/2'
'x+1/2,-y+1/2,z+1/2'
loop_
_atom_site_label
_atom_site_fract_x
_atom_site_fract_y
_atom_site_fract_z
K1 0.000 0.125 0.250
Si1 0.209 0.427 0.173
Ag1 0.000 0.320 0.750
Te1 0.126 0.092 0.763
Te2 0.139 0.431 0.482
Te3 0.141 0.268 0.036
```

Principal peaks in the range 10 to 80 degrees two-theta, in order of falling intensity:
- 2θ 14.70, intensity 100.0, hkl 1 1 -1
- 2θ 24.21, intensity 98.7, hkl 1 3 1
- 2θ 40.13, intensity 81.5, hkl 5 3 1
- 2θ 27.23, intensity 79.3, hkl 3 3 -1
- 2θ 23.81, intensity 74.6, hkl 4 0 0
- 2θ 23.14, intensity 58.2, hkl 2 2 1
- 2θ 29.41, intensity 57.5, hkl 2 4 -1
- 2θ 27.71, intensity 56.4, hkl 4 2 -1
- 2θ 44.71, intensity 49.9, hkl 4 6 0
- 2θ 26.85, intensity 48.0, hkl 1 1 -2